# 1
# Cs2Sr2PaS6
Calculated powder X-ray diffraction pattern, Cu Kα. Input: a PBE-relaxed structure.

Cell and atoms:
```
data_Cs2Sr2PaS6
_chemical_formula_sum 'Cs4 Sr4 Pa2 S12'
_cell_length_a 7.5158
_cell_length_b 12.7837
_cell_length_c 8.5561
_cell_angle_alpha 90.00
_cell_angle_beta 107.79
_cell_angle_gamma 90.00
_symmetry_space_group_name_H-M 'C 1 2/m 1'
_symmetry_Int_Tables_number 12
_symmetry_space_group_name_Hall '-C 2y'
loop_
_atom_site_label
_atom_site_fract_x
_atom_site_fract_y
_atom_site_fract_z
Cs1 0.0000 0.1736 0.0000
Sr1 0.0000 0.3371 0.5000
Pa1 0.0000 0.0000 0.5000
S1 0.2107 0.1515 0.6793
S2 0.2312 0.0000 0.3185
```

Peak list (6 most intense, 2θ = 10–90°, by intensity)
2θ/deg, I_rel, h k l
28.2, 100, 1 3 1
27.7, 61, 2 0 -2
14.2, 58, 1 1 0
25.1, 43, 1 3 -1
17.6, 41, 0 2 1
38.1, 41, 1 3 -3

# 2
# Cs2PaTlS5
Calculated powder X-ray diffraction pattern, Cu Kα. Input: a PBE-relaxed structure.

Cell and atoms:
```
data_Cs2PaTlS5
_chemical_formula_sum 'Cs8 Pa4 Tl4 S20'
_cell_length_a 4.1794
_cell_length_b 20.3202
_cell_length_c 14.8427
_cell_angle_alpha 90.00
_cell_angle_beta 90.00
_cell_angle_gamma 90.00
_symmetry_space_group_name_H-M 'C m c 21'
_symmetry_Int_Tables_number 36
_symmetry_space_group_name_Hall 'C 2c -2'
loop_
_atom_site_label
_atom_site_fract_x
_atom_site_fract_y
_atom_site_fract_z
Cs1 0.0000 0.1146 0.0000
Cs2 0.0000 0.1322 0.6373
Pa1 0.0000 0.2079 0.3410
Tl1 0.0000 0.4402 0.7549
S1 0.0000 0.0702 0.3632
S2 0.0000 0.2928 0.9532
S3 0.0000 0.3060 0.7218
S4 0.0000 0.3285 0.3240
S5 0.0000 0.4967 0.6136
```

Peak list (6 most intense, 2θ = 10–90°, by intensity)
2θ/deg, I_rel, h k l
28.3, 100, 1 1 3
20.0, 78, 0 2 3
27.0, 74, 0 6 1
25.8, 70, 1 3 1
37.4, 57, 0 8 2
10.6, 57, 0 2 1

# 3
# Cs2YPaS4
Calculated powder X-ray diffraction pattern, Cu Kα. Input: a PBE-relaxed structure.

Cell and atoms:
```
data_Cs2YPaS4
_chemical_formula_sum 'Cs2 Y1 Pa1 S4'
_cell_length_a 7.1049
_cell_length_b 4.0812
_cell_length_c 8.4537
_cell_angle_alpha 90.00
_cell_angle_beta 106.09
_cell_angle_gamma 90.00
_symmetry_space_group_name_H-M 'P 1 2/m 1'
_symmetry_Int_Tables_number 10
_symmetry_space_group_name_Hall '-P 2y'
loop_
_atom_site_label
_atom_site_fract_x
_atom_site_fract_y
_atom_site_fract_z
Cs1 0.0000 0.0000 0.0000
Cs2 0.5000 0.5000 0.0000
Y1 0.0000 0.5000 0.5000
Pa1 0.5000 0.0000 0.5000
S1 0.2302 0.0000 0.6828
S2 0.2724 0.5000 0.3158
```

Peak list (6 most intense, 2θ = 10–90°, by intensity)
2θ/deg, I_rel, h k l
29.2, 100, 1 1 1
26.2, 36, 1 1 -1
21.9, 33, 0 0 2
39.0, 26, 1 1 -3
44.2, 22, 3 1 -1
45.2, 19, 2 0 -4

# 4
# Cs4Sc3PaSe8
Calculated powder X-ray diffraction pattern, Cu Kα. Input: a PBE-relaxed structure.

Cell and atoms:
```
data_Cs4Sc3PaSe8
_chemical_formula_sum 'Cs12 Sc9 Pa3 Se24'
_cell_length_a 8.2416
_cell_length_b 8.2416
_cell_length_c 25.0510
_cell_angle_alpha 90.00
_cell_angle_beta 90.00
_cell_angle_gamma 120.00
_symmetry_space_group_name_H-M 'R -3 m'
_symmetry_Int_Tables_number 166
_symmetry_space_group_name_Hall '-R 3 2"'
loop_
_atom_site_label
_atom_site_fract_x
_atom_site_fract_y
_atom_site_fract_z
Cs1 0.0000 0.0000 0.0000
Cs2 0.0000 0.5000 0.0000
Sc1 0.0000 0.5000 0.5000
Pa1 0.0000 0.0000 0.5000
Se1 0.0000 0.0000 0.2252
Se2 0.0089 0.5045 0.7727
```

Peak list (6 most intense, 2θ = 10–90°, by intensity)
2θ/deg, I_rel, h k l
28.8, 100, 0 2 4
43.9, 36, 2 2 0
38.2, 30, 2 0 8
53.4, 17, 4 0 4
71.6, 15, 2 4 4
30.8, 14, 2 0 5

# 5
# Cs4PaSe5
Calculated powder X-ray diffraction pattern, Cu Kα. Input: a PBE-relaxed structure.

Cell and atoms:
```
data_Cs4PaSe5
_chemical_formula_sum 'Cs8 Pa2 Se10'
_cell_length_a 12.1648
_cell_length_b 12.1648
_cell_length_c 5.7873
_cell_angle_alpha 90.00
_cell_angle_beta 90.00
_cell_angle_gamma 90.00
_symmetry_space_group_name_H-M 'I 4/m m m'
_symmetry_Int_Tables_number 139
_symmetry_space_group_name_Hall '-I 4 2'
loop_
_atom_site_label
_atom_site_fract_x
_atom_site_fract_y
_atom_site_fract_z
Cs1 0.0000 0.2787 0.0000
Pa1 0.0000 0.0000 0.5000
Se1 0.0000 0.0000 0.0000
Se2 0.1599 0.1599 0.5000
```

Peak list (6 most intense, 2θ = 10–90°, by intensity)
2θ/deg, I_rel, h k l
10.3, 100, 1 1 0
22.4, 99, 2 1 1
26.8, 80, 3 0 1
31.2, 66, 3 3 0
30.9, 56, 0 0 2
30.7, 53, 3 2 1

# 6
# CsPa3Se8
Calculated powder X-ray diffraction pattern, Cu Kα. Input: a PBE-relaxed structure.

Cell and atoms:
```
data_CsPa3Se8
_chemical_formula_sum 'Cs1 Pa3 Se8'
_cell_length_a 7.3365
_cell_length_b 7.3365
_cell_length_c 9.2112
_cell_angle_alpha 90.00
_cell_angle_beta 90.00
_cell_angle_gamma 120.00
_symmetry_space_group_name_H-M 'P -3'
_symmetry_Int_Tables_number 147
_symmetry_space_group_name_Hall '-P 3'
loop_
_atom_site_label
_atom_site_fract_x
_atom_site_fract_y
_atom_site_fract_z
Cs1 0.0000 0.0000 0.0000
Pa1 0.0000 0.0000 0.5000
Pa2 0.3333 0.6667 0.5812
Se1 0.0644 0.3588 0.3538
Se2 0.3333 0.6667 0.8614
```

Peak list (6 most intense, 2θ = 10–90°, by intensity)
2θ/deg, I_rel, h k l
24.3, 100, 1 1 0
31.2, 96, 1 1 2
42.7, 66, 3 0 0
29.7, 44, 0 2 1
26.1, 44, 1 1 1
17.0, 43, 1 0 1

# 7
# Cs2Tb2PaSe6
Calculated powder X-ray diffraction pattern, Cu Kα. Input: a PBE-relaxed structure.

Cell and atoms:
```
data_Cs2Tb2PaSe6
_chemical_formula_sum 'Cs4 Tb4 Pa2 Se12'
_cell_length_a 7.3067
_cell_length_b 12.6436
_cell_length_c 8.9484
_cell_angle_alpha 90.00
_cell_angle_beta 106.07
_cell_angle_gamma 90.00
_symmetry_space_group_name_H-M 'C 1 2/m 1'
_symmetry_Int_Tables_number 12
_symmetry_space_group_name_Hall '-C 2y'
loop_
_atom_site_label
_atom_site_fract_x
_atom_site_fract_y
_atom_site_fract_z
Cs1 0.0000 0.1681 0.0000
Tb1 0.0000 0.3333 0.5000
Pa1 0.0000 0.0000 0.5000
Se1 0.2268 0.1648 0.6829
Se2 0.2324 0.5000 0.6826
```

Peak list (6 most intense, 2θ = 10–90°, by intensity)
2θ/deg, I_rel, h k l
28.1, 100, 1 3 1
10.3, 77, 0 0 1
28.0, 53, 2 0 -2
42.9, 41, 3 3 -1
37.2, 33, 1 3 -3
42.9, 29, 0 6 0

# 8
# Cs2PaTeSe6
Calculated powder X-ray diffraction pattern, Cu Kα. Input: a PBE-relaxed structure.

Cell and atoms:
```
data_Cs2PaTeSe6
_chemical_formula_sum 'Cs2 Pa1 Te1 Se6'
_cell_length_a 7.7975
_cell_length_b 7.7975
_cell_length_c 6.9635
_cell_angle_alpha 90.00
_cell_angle_beta 90.00
_cell_angle_gamma 120.00
_symmetry_space_group_name_H-M 'P -3 m 1'
_symmetry_Int_Tables_number 164
_symmetry_space_group_name_Hall '-P 3 2"'
loop_
_atom_site_label
_atom_site_fract_x
_atom_site_fract_y
_atom_site_fract_z
Cs1 0.3333 0.6667 0.2922
Pa1 0.0000 0.0000 0.0000
Te1 0.0000 0.0000 0.5000
Se1 0.1620 0.3240 0.7496
```

Peak list (6 most intense, 2θ = 10–90°, by intensity)
2θ/deg, I_rel, h k l
29.4, 100, 2 0 1
13.1, 79, 1 0 0
37.1, 65, 0 2 2
22.8, 45, 1 1 0
46.6, 39, 2 2 0
28.9, 36, 1 0 2

# 9
# Cs3Th2PaSe6
Calculated powder X-ray diffraction pattern, Cu Kα. Input: a PBE-relaxed structure.

Cell and atoms:
```
data_Cs3Th2PaSe6
_chemical_formula_sum 'Cs6 Th4 Pa2 Se12'
_cell_length_a 7.3951
_cell_length_b 12.8102
_cell_length_c 8.9019
_cell_angle_alpha 90.00
_cell_angle_beta 106.06
_cell_angle_gamma 90.00
_symmetry_space_group_name_H-M 'C 1 2/m 1'
_symmetry_Int_Tables_number 12
_symmetry_space_group_name_Hall '-C 2y'
loop_
_atom_site_label
_atom_site_fract_x
_atom_site_fract_y
_atom_site_fract_z
Cs1 0.0000 0.0000 0.0000
Cs2 0.0000 0.3313 0.0000
Th1 0.0000 0.1663 0.5000
Pa1 0.0000 0.5000 0.5000
Se1 0.2286 0.3358 0.6941
Se2 0.2373 0.0000 0.6952
```

Peak list (6 most intense, 2θ = 10–90°, by intensity)
2θ/deg, I_rel, h k l
27.8, 100, 1 3 1
42.3, 41, 0 6 0
37.1, 38, 2 0 2
10.3, 27, 0 0 1
25.1, 20, 2 0 0
51.4, 18, 4 0 0

# 10
# Cs2UPa2Se6
Calculated powder X-ray diffraction pattern, Cu Kα. Input: a PBE-relaxed structure.

Cell and atoms:
```
data_Cs2UPa2Se6
_chemical_formula_sum 'Cs4 U2 Pa4 Se12'
_cell_length_a 7.1930
_cell_length_b 12.4667
_cell_length_c 9.0529
_cell_angle_alpha 90.00
_cell_angle_beta 105.30
_cell_angle_gamma 90.00
_symmetry_space_group_name_H-M 'C 1 2/m 1'
_symmetry_Int_Tables_number 12
_symmetry_space_group_name_Hall '-C 2y'
loop_
_atom_site_label
_atom_site_fract_x
_atom_site_fract_y
_atom_site_fract_z
Cs1 0.0000 0.1663 0.0000
U1 0.0000 0.0000 0.5000
Pa1 0.0000 0.3341 0.5000
Se1 0.2259 0.5000 0.6880
Se2 0.2302 0.1680 0.6868
```

Peak list (6 most intense, 2θ = 10–90°, by intensity)
2θ/deg, I_rel, h k l
28.3, 100, 1 3 1
10.1, 67, 0 0 1
37.1, 37, 1 3 -3
43.6, 34, 0 6 0
34.6, 21, 1 3 2
52.8, 18, 2 6 -2

# 11
# Cs3Pa2Te7
Calculated powder X-ray diffraction pattern, Cu Kα. Input: a PBE-relaxed structure.

Cell and atoms:
```
data_Cs3Pa2Te7
_chemical_formula_sum 'Cs6 Pa4 Te14'
_cell_length_a 5.9969
_cell_length_b 29.3752
_cell_length_c 5.9605
_cell_angle_alpha 90.00
_cell_angle_beta 90.00
_cell_angle_gamma 90.00
_symmetry_space_group_name_H-M 'C m m m'
_symmetry_Int_Tables_number 65
_symmetry_space_group_name_Hall '-C 2 2'
loop_
_atom_site_label
_atom_site_fract_x
_atom_site_fract_y
_atom_site_fract_z
Cs1 0.0000 0.0000 0.0000
Cs2 0.0000 0.1908 0.0000
Pa1 0.0000 0.3974 0.5000
Te1 0.0000 0.0991 0.5000
Te2 0.0000 0.2989 0.5000
Te3 0.0000 0.4024 0.0000
Te4 0.0000 0.5000 0.5000
```

Peak list (6 most intense, 2θ = 10–90°, by intensity)
2θ/deg, I_rel, h k l
26.0, 100, 1 5 1
29.8, 77, 2 0 0
30.0, 76, 0 0 2
30.4, 70, 0 10 0
53.4, 60, 2 10 2
21.2, 60, 1 5 0

# 12
# Cs5PaTe6
Calculated powder X-ray diffraction pattern, Cu Kα. Input: a PBE-relaxed structure.

Cell and atoms:
```
data_Cs5PaTe6
_chemical_formula_sum 'Cs10 Pa2 Te12'
_cell_length_a 9.3564
_cell_length_b 15.9537
_cell_length_c 9.0983
_cell_angle_alpha 90.00
_cell_angle_beta 110.64
_cell_angle_gamma 90.00
_symmetry_space_group_name_H-M 'C 1 2/m 1'
_symmetry_Int_Tables_number 12
_symmetry_space_group_name_Hall '-C 2y'
loop_
_atom_site_label
_atom_site_fract_x
_atom_site_fract_y
_atom_site_fract_z
Cs1 0.0000 0.0000 0.0000
Cs2 0.0000 0.1644 0.5000
Cs3 0.0000 0.3209 0.0000
Pa1 0.0000 0.5000 0.5000
Te1 0.1885 0.5000 0.2931
Te2 0.2009 0.3661 0.7052
```

Peak list (6 most intense, 2θ = 10–90°, by intensity)
2θ/deg, I_rel, h k l
23.8, 100, 1 3 1
23.5, 51, 2 0 -2
34.0, 32, 1 3 -3
33.3, 30, 3 3 -1
11.5, 17, 1 1 0
34.2, 16, 2 0 2

# 13
# Cs3Pa3TlTe8
Calculated powder X-ray diffraction pattern, Cu Kα. Input: a PBE-relaxed structure.

Cell and atoms:
```
data_Cs3Pa3TlTe8
_chemical_formula_sum 'Cs9 Pa9 Tl3 Te24'
_cell_length_a 9.2316
_cell_length_b 9.2316
_cell_length_c 26.6920
_cell_angle_alpha 90.00
_cell_angle_beta 90.00
_cell_angle_gamma 120.00
_symmetry_space_group_name_H-M 'R -3 m'
_symmetry_Int_Tables_number 166
_symmetry_space_group_name_Hall '-R 3 2"'
loop_
_atom_site_label
_atom_site_fract_x
_atom_site_fract_y
_atom_site_fract_z
Cs1 0.0000 0.5000 0.0000
Pa1 0.0000 0.5000 0.5000
Tl1 0.0000 0.0000 0.5000
Te1 0.0000 0.0000 0.2307
Te2 0.0310 0.5155 0.7692
```

Peak list (6 most intense, 2θ = 10–90°, by intensity)
2θ/deg, I_rel, h k l
26.0, 100, 0 2 4
39.0, 36, 2 2 0
35.0, 34, 2 0 8
47.5, 19, 4 0 4
32.4, 18, 0 2 7
63.1, 15, 2 4 4